CePu2Au2: simulated PXRD pattern (Cu Kα, 1.54184 Å), based on a cell relaxed with GGA-PBE.
Lines closer than 0.1° are merged.

Principal peaks in the range 10 to 90 degrees two-theta, low angle first:
2θ (°)  I (rel.)
35.13  100
36.22  96
51.35  35
62.31  17
64.45  35
65.15  18
74.25  11
76.89  11
85.52  15
87.44  16

Crystal structure
abc: 6.0203 6.0203 6.0203
angles: 48.65 48.65 48.65
Fractional coordinates of all 5 atoms:
Ce 0.0000 0.0000 0.0000
Pu 0.4084 0.4084 0.4084
Pu 0.5916 0.5916 0.5916
Au 0.2031 0.2031 0.2031
Au 0.7969 0.7969 0.7969